(1)
Computed powder X-ray diffraction pattern of LaPr5Nd5 for Cu Kα, 1.54184 Å, from a GGA-PBE-relaxed structure.
No peak broadening, texture or thermal motion is included.

The 6 most intense peaks (5° ≤ 2θ ≤ 70°), sorted by position:
d (Å)  Position (°2θ)  I_rel
3.116  28.65  100
3.008  29.70  46
2.770  32.31  69
2.741  32.67  64
2.164  41.75  37
1.787  51.12  21

Cell and atoms:
```
data_LaPr5Nd5
_chemical_formula_sum 'La2 Pr10 Nd10'
_symmetry_space_group_name_H-M 'C 1 2/m 1'
_symmetry_Int_Tables_number 12
_symmetry_space_group_name_Hall '-C 2y'
_cell_length_a 19.313
_cell_length_b 6.229
_cell_length_c 7.149
_cell_angle_alpha 90.00
_cell_angle_beta 110.85
_cell_angle_gamma 90.00
loop_
_atom_site_label
_atom_site_fract_x
_atom_site_fract_y
_atom_site_fract_z
_atom_site_occupancy
La1 0.000 0.000 0.000 1
Pr1 0.000 0.500 0.000 1
Pr2 0.174 0.000 0.931 1
Pr3 0.175 0.000 0.417 1
Nd1 0.000 0.000 0.500 1
Nd2 0.125 0.500 0.631 1
Nd3 0.171 0.500 0.176 1
```

(2)
Computed powder X-ray diffraction pattern of Sb3Se2S4 for Cu Kα, 1.54184 Å, from a GGA-PBE-relaxed structure.
No peak broadening, texture or thermal motion is included.

The 6 most intense peaks (5° ≤ 2θ ≤ 70°), sorted by position:
d (Å)  Position (°2θ)  I_rel
7.195  12.30  100
3.166  28.19  36
2.898  30.86  23
2.553  35.15  68
2.054  44.10  30
1.828  49.89  28

Cell and atoms:
```
data_Sb3Se2S4
_chemical_formula_sum 'Sb3 Se2 S4'
_symmetry_space_group_name_H-M 'P 3 m 1'
_symmetry_Int_Tables_number 156
_symmetry_space_group_name_Hall 'P 3 -2"'
_cell_length_a 3.6555
_cell_length_b 3.6555
_cell_length_c 21.5858
_cell_angle_alpha 90.00
_cell_angle_beta 90.00
_cell_angle_gamma 120.00
loop_
_atom_site_label
_atom_site_fract_x
_atom_site_fract_y
_atom_site_fract_z
_atom_site_occupancy
Sb1 0.0000 0.0000 0.0000 1
Sb2 0.0000 0.0000 0.3535 1
Sb3 0.6667 0.3333 0.6718 1
Se1 0.6667 0.3333 0.0867 1
Se2 0.6667 0.3333 0.9133 1
S1 0.0000 0.0000 0.5934 1
S2 0.0000 0.0000 0.7506 1
S3 0.6667 0.3333 0.2749 1
S4 0.6667 0.3333 0.4319 1
```